This entry pairs a crystal structure of Mg14AlC with its calculated powder diffraction line list. Radiation: Cu Kα, 1.54184 Å. Structure: a cell relaxed with GGA-PBE.
Intensities are scaled so that the largest is 100.

Peak list (8 most intense, 2θ from 10° to 90°, sorted by position)
Position (°2θ), d [Å], I/Imax
33.3, 2.691, 25
36.1, 2.490, 25
38.0, 2.367, 100
49.9, 1.827, 14
59.5, 1.554, 17
66.1, 1.413, 17
71.6, 1.318, 18
72.8, 1.299, 13

Cell and atoms:
abc: 6.214 6.214 9.959
angles: 90.00 90.00 120.00
Element x y z (fractional)
Mg 0.000 0.000 0.249
Mg 0.000 0.000 0.751
Mg 0.012 0.506 0.261
Mg 0.012 0.506 0.739
Mg 0.328 0.164 0.500
Mg 0.336 0.168 0.000
Mg 0.494 0.506 0.261
Mg 0.494 0.506 0.739
Mg 0.494 0.988 0.261
Mg 0.494 0.988 0.739
Mg 0.832 0.168 0.000
Mg 0.832 0.664 0.000
Mg 0.836 0.164 0.500
Mg 0.836 0.672 0.500
Al 0.333 0.667 0.000
C 0.333 0.667 0.500

This entry pairs a crystal structure of Si with its calculated powder diffraction line list. Radiation: Cu Kα, 1.54184 Å. Structure: a cell relaxed with GGA-PBE.
Intensities are scaled so that the largest is 100.

Peak list (8 most intense, 2θ from 10° to 90°, sorted by position)
Position (°2θ), d [Å], I/Imax
13.5, 6.562, 64
18.5, 4.802, 100
20.4, 4.348, 41
27.2, 3.281, 37
32.1, 2.792, 37
36.3, 2.476, 34
45.9, 1.976, 35
51.7, 1.767, 30

Cell and atoms:
abc: 4.935 5.392 7.137
angles: 92.41 109.81 114.31
Element x y z (fractional)
Si 0.000 0.000 0.000
Si 0.004 0.564 0.961
Si 0.099 0.277 0.752
Si 0.159 0.151 0.365
Si 0.387 0.589 0.279
Si 0.515 0.110 0.860
Si 0.638 0.057 0.446
Si 0.654 0.344 0.199

This entry pairs a crystal structure of K2HgBiBr6 with its calculated powder diffraction line list. Radiation: Cu Kα, 1.54184 Å. Structure: a cell relaxed with GGA-PBE.
Intensities are scaled so that the largest is 100.

Peak list (8 most intense, 2θ from 10° to 90°, sorted by position)
Position (°2θ), d [Å], I/Imax
15.2, 5.826, 100
21.6, 4.119, 40
30.7, 2.913, 78
34.4, 2.605, 57
44.0, 2.060, 58
46.8, 1.942, 31
54.6, 1.682, 20
72.6, 1.303, 26

Cell and atoms:
abc: 8.239 8.239 8.239
angles: 60.00 60.00 60.00
Element x y z (fractional)
K 0.250 0.250 0.250
K 0.750 0.750 0.750
Hg 0.000 0.000 0.000
Bi 0.500 0.500 0.500
Br 0.253 0.253 0.747
Br 0.253 0.747 0.253
Br 0.253 0.747 0.747
Br 0.747 0.253 0.253
Br 0.747 0.253 0.747
Br 0.747 0.747 0.253

This entry pairs a crystal structure of LiMg2Pt with its calculated powder diffraction line list. Radiation: Cu Kα, 1.54184 Å. Structure: a cell relaxed with GGA-PBE.
Intensities are scaled so that the largest is 100.

Peak list (8 most intense, 2θ from 10° to 90°, sorted by position)
Position (°2θ), d [Å], I/Imax
24.0, 3.711, 100
27.8, 3.214, 31
39.7, 2.273, 73
46.9, 1.938, 51
57.3, 1.607, 12
63.0, 1.475, 21
72.0, 1.312, 25
77.1, 1.237, 16

Cell and atoms:
abc: 4.545 4.545 4.545
angles: 60.00 60.00 60.00
Element x y z (fractional)
Li 0.000 0.000 0.000
Mg 0.250 0.250 0.250
Mg 0.750 0.750 0.750
Pt 0.500 0.500 0.500

This entry pairs a crystal structure of CaSnF6 with its calculated powder diffraction line list. Radiation: Cu Kα, 1.54184 Å. Structure: a cell relaxed with GGA-PBE.
Intensities are scaled so that the largest is 100.

Peak list (8 most intense, 2θ from 10° to 90°, sorted by position)
Position (°2θ), d [Å], I/Imax
18.0, 4.927, 34
20.8, 4.267, 100
29.6, 3.017, 30
34.9, 2.573, 14
42.4, 2.134, 27
47.7, 1.908, 41
61.5, 1.509, 16
65.6, 1.422, 19

Cell and atoms:
abc: 6.035 6.035 6.035
angles: 60.00 60.00 60.00
Element x y z (fractional)
Ca 0.000 0.000 0.000
Sn 0.500 0.500 0.500
F 0.266 0.266 0.734
F 0.266 0.734 0.266
F 0.266 0.734 0.734
F 0.734 0.266 0.266
F 0.734 0.266 0.734
F 0.734 0.734 0.266

This entry pairs a crystal structure of Pm3I with its calculated powder diffraction line list. Radiation: Cu Kα, 1.54184 Å. Structure: a cell relaxed with GGA-PBE.
Intensities are scaled so that the largest is 100.

Peak list (8 most intense, 2θ from 10° to 90°, sorted by position)
Position (°2θ), d [Å], I/Imax
29.2, 3.060, 23
30.9, 2.891, 27
33.1, 2.705, 100
43.0, 2.101, 16
51.7, 1.767, 19
56.4, 1.631, 22
61.5, 1.507, 22
62.8, 1.479, 16

Cell and atoms:
abc: 7.067 7.067 5.782
angles: 90.00 90.00 120.00
Element x y z (fractional)
Pm 0.166 0.333 0.250
Pm 0.166 0.834 0.250
Pm 0.333 0.166 0.750
Pm 0.667 0.834 0.250
Pm 0.834 0.166 0.750
Pm 0.834 0.667 0.750
I 0.333 0.667 0.750
I 0.667 0.333 0.250